(1)
This entry pairs a crystal structure of Pm5Tm4Sc4 with its computed powder diffractogram. Radiation: Cu Kα X-rays. Structure: the PBE geometry in Alexandria.
Kinematic intensities with the Lorentz-polarization factor, no thermal factor.

The 8 most intense peaks (10 to 80 degrees two-theta), by angle:
d [Å]	Rel. int.
6.276	9.6
3.969	6.2
3.700	7.3
2.842	100.0
2.461	50.9
1.740	35.6
1.484	41.5
1.421	11.8

Crystal structure
```
Pm5Tm4Sc4
1.0
-6.2761 6.2761 2.4595
6.2761 -6.2761 2.4595
6.2761 6.2761 -2.4595
Pm Tm Sc
5 4 4
Direct
0.0000 0.0000 0.0000
0.3052 0.4572 0.7624
0.4572 0.6948 0.1520
0.5428 0.3052 0.8480
0.6948 0.5428 0.2376
0.0778 0.6160 0.6938
0.3840 0.0778 0.4618
0.6160 0.9222 0.5382
0.9222 0.3840 0.3062
0.1558 0.2340 0.3897
0.2340 0.8442 0.0782
0.7660 0.1558 0.9218
0.8442 0.7660 0.6103
```



(2)
This entry pairs a crystal structure of PmTm4Sc with its computed powder diffractogram. Radiation: Cu Kα X-rays. Structure: the PBE geometry in Alexandria.
Kinematic intensities with the Lorentz-polarization factor, no thermal factor.

The 8 most intense peaks (10 to 80 degrees two-theta), by angle:
d [Å]	Rel. int.
4.824	25.3
3.196	44.0
2.911	40.3
2.846	61.8
2.800	100.0
2.496	53.5
2.489	51.1
1.447	27.2

Crystal structure
```
PmTm4Sc
1.0
3.3873 0.0000 0.0000
0.0000 5.6917 0.0000
-0.0353 0.0000 9.6477
Pm Tm Sc
1 4 1
Direct
0.0000 0.0000 0.0000
0.0018 0.5000 0.8014
0.4976 0.0000 0.6800
0.5024 0.0000 0.3200
0.9982 0.5000 0.1986
0.5000 0.5000 0.5000
```



(3)
This entry pairs a crystal structure of Pm3Tm5Sc2 with its computed powder diffractogram. Radiation: Cu Kα X-rays. Structure: the PBE geometry in Alexandria.
Kinematic intensities with the Lorentz-polarization factor, no thermal factor.

The 8 most intense peaks (10 to 80 degrees two-theta), by angle:
d [Å]	Rel. int.
3.691	22.9
2.917	100.0
2.825	75.4
2.630	40.9
2.499	17.1
1.805	16.3
1.568	15.7
1.553	14.2

Crystal structure
```
Pm3Tm5Sc2
1.0
9.0577 0.0000 0.0000
-2.9607 8.5727 0.0000
-3.0425 -4.2893 7.9691
Pm Tm Sc
6 10 4
Direct
0.0135 0.2639 0.0272
0.2233 0.7697 0.7466
0.4762 0.5225 0.2529
0.5238 0.4775 0.7471
0.7767 0.2303 0.2534
0.9865 0.7361 0.9728
0.1106 0.3473 0.7142
0.2186 0.4685 0.4372
0.2798 0.0301 0.5599
0.3962 0.1334 0.2857
0.4768 0.2265 0.9529
0.5232 0.7735 0.0471
0.6038 0.8666 0.7143
0.7202 0.9699 0.4401
0.7814 0.5315 0.5628
0.8894 0.6527 0.2858
0.0109 0.9637 0.7256
0.2864 0.7389 0.2753
0.7136 0.2611 0.7247
0.9891 0.0363 0.2744
```



(4)
This entry pairs a crystal structure of Pm3TmSc7 with its computed powder diffractogram. Radiation: Cu Kα X-rays. Structure: the PBE geometry in Alexandria.
Kinematic intensities with the Lorentz-polarization factor, no thermal factor.

The 8 most intense peaks (10 to 80 degrees two-theta), by angle:
d [Å]	Rel. int.
5.386	44.9
3.580	100.0
2.751	45.7
2.693	34.1
2.622	20.4
2.609	84.8
2.588	32.7
1.924	25.0

Crystal structure
```
Pm3TmSc7
1.0
6.0439 -5.2439 0.0000
6.0439 5.2439 0.0000
-2.4966 0.0000 4.9034
Pm Tm Sc
3 1 7
Direct
0.0000 0.0000 0.0000
0.2161 0.7839 0.5000
0.7839 0.2161 0.5000
0.5000 0.5000 0.0000
0.0260 0.4087 0.2173
0.2084 0.2084 0.7080
0.4087 0.0260 0.2173
0.5000 0.5000 0.5000
0.5913 0.9740 0.7827
0.7916 0.7916 0.2920
0.9740 0.5913 0.7827
```